Entry 1:
For KGe3P, a structure optimized by DFT (GGA-PBE) gives the computed X-ray diffraction stick pattern in this record (Cu Kα, 1.54184 Å).

Structure:
```
data_KGe3P
_chemical_formula_sum 'K2 Ge6 P2'
_symmetry_space_group_name_H-M 'P 1'
_symmetry_Int_Tables_number 1
_symmetry_space_group_name_Hall 'P 1'
_cell_length_a 5.3035
_cell_length_b 6.0527
_cell_length_c 8.4607
_cell_angle_alpha 90.00
_cell_angle_beta 90.05
_cell_angle_gamma 90.00
loop_
_atom_site_label
_atom_site_type_symbol
_atom_site_fract_x
_atom_site_fract_y
_atom_site_fract_z
K1 K 0.0000 0.0000 0.0000
K2 K 0.4994 0.5000 0.1805
Ge1 Ge 0.3510 0.0000 0.3390
Ge2 Ge 0.4791 0.2565 0.7607
Ge3 Ge 0.4791 0.7435 0.7607
Ge4 Ge 0.8518 0.5000 0.8421
Ge5 Ge 0.9786 0.2434 0.4200
Ge6 Ge 0.9786 0.7566 0.4200
P1 P 0.1398 0.5000 0.6188
P2 P 0.6399 0.0000 0.5620
```

The 10 most intense peaks (15° ≤ 2θ ≤ 90°), in order of rising 2θ:
| 2θ/deg | Rel. int. |
| --- | --- |
| 18.02 | 25 |
| 19.76 | 25 |
| 21.00 | 25 |
| 24.68 | 20 |
| 26.96 | 59 |
| 30.81 | 28 |
| 33.80 | 20 |
| 35.77 | 100 |
| 43.88 | 20 |
| 50.60 | 15 |

Entry 2:
For KGeP2Pt4, a structure optimized by DFT (GGA-PBE) gives the computed X-ray diffraction stick pattern in this record (Cu Kα, 1.54184 Å).

Structure:
```
data_KGeP2Pt4
_chemical_formula_sum 'K1 Ge1 P2 Pt4'
_symmetry_space_group_name_H-M 'P 1'
_symmetry_Int_Tables_number 1
_symmetry_space_group_name_Hall 'P 1'
_cell_length_a 3.9842
_cell_length_b 3.9842
_cell_length_c 10.0991
_cell_angle_alpha 90.00
_cell_angle_beta 90.00
_cell_angle_gamma 90.00
loop_
_atom_site_label
_atom_site_type_symbol
_atom_site_fract_x
_atom_site_fract_y
_atom_site_fract_z
K1 K 0.0000 0.0000 0.0000
Ge1 Ge 0.0000 0.0000 0.5000
P1 P 0.5000 0.5000 0.1982
P2 P 0.5000 0.5000 0.8018
Pt1 Pt 0.0000 0.5000 0.3269
Pt2 Pt 0.0000 0.5000 0.6731
Pt3 Pt 0.5000 0.0000 0.3269
Pt4 Pt 0.5000 0.0000 0.6731
```

The 10 most intense peaks (15° ≤ 2θ ≤ 90°), in order of rising 2θ:
| 2θ/deg | Rel. int. |
| --- | --- |
| 17.56 | 42 |
| 26.48 | 53 |
| 31.76 | 50 |
| 33.01 | 31 |
| 36.52 | 51 |
| 41.81 | 100 |
| 45.53 | 48 |
| 53.45 | 32 |
| 73.69 | 21 |
| 81.59 | 30 |

Entry 3:
For KGePb, a structure optimized by DFT (GGA-PBE) gives the computed X-ray diffraction stick pattern in this record (Cu Kα, 1.54184 Å).

Structure:
```
data_KGePb
_chemical_formula_sum 'K2 Ge2 Pb2'
_symmetry_space_group_name_H-M 'P 1'
_symmetry_Int_Tables_number 1
_symmetry_space_group_name_Hall 'P 1'
_cell_length_a 4.3617
_cell_length_b 6.9463
_cell_length_c 7.3813
_cell_angle_alpha 109.17
_cell_angle_beta 90.07
_cell_angle_gamma 90.19
loop_
_atom_site_label
_atom_site_type_symbol
_atom_site_fract_x
_atom_site_fract_y
_atom_site_fract_z
K1 K 0.0000 0.0000 0.0000
K2 K 0.4976 0.5485 0.1633
Ge1 Ge 0.5015 0.1658 0.3719
Ge2 Ge 0.5027 0.1828 0.7257
Pb1 Pb 0.0004 0.9144 0.4924
Pb2 Pb 0.0031 0.4451 0.6108
```

The 10 most intense peaks (15° ≤ 2θ ≤ 90°), in order of rising 2θ:
| 2θ/deg | Rel. int. |
| --- | --- |
| 20.36 | 43 |
| 24.07 | 85 |
| 30.68 | 55 |
| 32.20 | 53 |
| 32.83 | 80 |
| 33.20 | 100 |
| 34.13 | 62 |
| 34.27 | 61 |
| 41.40 | 45 |
| 42.18 | 52 |

Entry 4:
For KGePbSe3, a structure optimized by DFT (GGA-PBE) gives the computed X-ray diffraction stick pattern in this record (Cu Kα, 1.54184 Å).

Structure:
```
data_KGePbSe3
_chemical_formula_sum 'K2 Ge2 Pb2 Se6'
_symmetry_space_group_name_H-M 'P 1'
_symmetry_Int_Tables_number 1
_symmetry_space_group_name_Hall 'P 1'
_cell_length_a 9.1849
_cell_length_b 4.6813
_cell_length_c 9.9951
_cell_angle_alpha 90.00
_cell_angle_beta 100.43
_cell_angle_gamma 90.00
loop_
_atom_site_label
_atom_site_type_symbol
_atom_site_fract_x
_atom_site_fract_y
_atom_site_fract_z
K1 K 0.1698 0.2500 0.1935
K2 K 0.8302 0.7500 0.8065
Ge1 Ge 0.1009 0.2500 0.5982
Ge2 Ge 0.8991 0.7500 0.4018
Pb1 Pb 0.3729 0.7500 0.8619
Pb2 Pb 0.6271 0.2500 0.1381
Se1 Se 0.1095 0.2500 0.8352
Se2 Se 0.1710 0.7500 0.5188
Se3 Se 0.4170 0.7500 0.1487
Se4 Se 0.5830 0.2500 0.8513
Se5 Se 0.8290 0.2500 0.4812
Se6 Se 0.8905 0.7500 0.1648
```

The 10 most intense peaks (15° ≤ 2θ ≤ 90°), in order of rising 2θ:
| 2θ/deg | Rel. int. |
| --- | --- |
| 23.93 | 24 |
| 27.22 | 60 |
| 27.44 | 100 |
| 27.76 | 66 |
| 29.22 | 22 |
| 33.38 | 28 |
| 35.22 | 27 |
| 38.46 | 42 |
| 43.16 | 48 |
| 47.75 | 25 |

Entry 5:
For KGe2Pd5, a structure optimized by DFT (GGA-PBE) gives the computed X-ray diffraction stick pattern in this record (Cu Kα, 1.54184 Å).

Structure:
```
data_KGe2Pd5
_chemical_formula_sum 'K1 Ge2 Pd5'
_symmetry_space_group_name_H-M 'P 1'
_symmetry_Int_Tables_number 1
_symmetry_space_group_name_Hall 'P 1'
_cell_length_a 6.6006
_cell_length_b 6.6006
_cell_length_c 6.6006
_cell_angle_alpha 145.16
_cell_angle_beta 112.87
_cell_angle_gamma 77.91
loop_
_atom_site_label
_atom_site_type_symbol
_atom_site_fract_x
_atom_site_fract_y
_atom_site_fract_z
K1 K 0.0000 0.0000 0.0000
Ge1 Ge 0.2604 0.7604 0.5000
Ge2 Ge 0.7396 0.2396 0.5000
Pd1 Pd 0.1544 0.3464 0.8080
Pd2 Pd 0.4616 0.6536 0.8080
Pd3 Pd 0.5000 0.0000 0.5000
Pd4 Pd 0.5384 0.3464 0.1920
Pd5 Pd 0.8456 0.6536 0.1920
```

The 10 most intense peaks (15° ≤ 2θ ≤ 90°), in order of rising 2θ:
| 2θ/deg | Rel. int. |
| --- | --- |
| 17.28 | 12 |
| 34.63 | 100 |
| 43.09 | 30 |
| 43.69 | 36 |
| 43.85 | 21 |
| 45.76 | 15 |
| 45.92 | 24 |
| 64.79 | 18 |
| 66.84 | 9 |
| 79.30 | 9 |

Entry 6:
For KGe4Pd4, a structure optimized by DFT (GGA-PBE) gives the computed X-ray diffraction stick pattern in this record (Cu Kα, 1.54184 Å).

Structure:
```
data_KGe4Pd4
_chemical_formula_sum 'K1 Ge4 Pd4'
_symmetry_space_group_name_H-M 'P 1'
_symmetry_Int_Tables_number 1
_symmetry_space_group_name_Hall 'P 1'
_cell_length_a 6.6416
_cell_length_b 6.6416
_cell_length_c 6.6416
_cell_angle_alpha 97.57
_cell_angle_beta 97.57
_cell_angle_gamma 137.43
loop_
_atom_site_label
_atom_site_type_symbol
_atom_site_fract_x
_atom_site_fract_y
_atom_site_fract_z
K1 K 0.0000 0.0000 0.0000
Ge1 Ge 0.1916 0.3339 0.5255
Ge2 Ge 0.3339 0.8084 0.1423
Ge3 Ge 0.6661 0.1916 0.8577
Ge4 Ge 0.8084 0.6661 0.4745
Pd1 Pd 0.1138 0.6146 0.7284
Pd2 Pd 0.3854 0.1138 0.4992
Pd3 Pd 0.6146 0.8862 0.5008
Pd4 Pd 0.8862 0.3854 0.2716
```

The 10 most intense peaks (15° ≤ 2θ ≤ 90°), in order of rising 2θ:
| 2θ/deg | Rel. int. |
| --- | --- |
| 32.35 | 70 |
| 37.29 | 59 |
| 40.14 | 22 |
| 41.26 | 29 |
| 41.66 | 100 |
| 46.76 | 44 |
| 50.18 | 40 |
| 56.82 | 22 |
| 70.23 | 21 |
| 82.74 | 29 |

Entry 7:
For K3Ge8Pd3, a structure optimized by DFT (GGA-PBE) gives the computed X-ray diffraction stick pattern in this record (Cu Kα, 1.54184 Å).

Structure:
```
data_K3Ge8Pd3
_chemical_formula_sum 'K3 Ge8 Pd3'
_symmetry_space_group_name_H-M 'P 1'
_symmetry_Int_Tables_number 1
_symmetry_space_group_name_Hall 'P 1'
_cell_length_a 8.4326
_cell_length_b 8.4326
_cell_length_c 8.4326
_cell_angle_alpha 148.62
_cell_angle_beta 106.42
_cell_angle_gamma 82.16
loop_
_atom_site_label
_atom_site_type_symbol
_atom_site_fract_x
_atom_site_fract_y
_atom_site_fract_z
K1 K 0.0000 0.0000 0.0000
K2 K 0.3118 0.3118 0.0000
K3 K 0.6882 0.6882 0.0000
Ge1 Ge 0.0305 0.6681 0.3624
Ge2 Ge 0.1641 0.8741 0.2900
Ge3 Ge 0.3057 0.6681 0.6376
Ge4 Ge 0.4160 0.1259 0.2900
Ge5 Ge 0.5840 0.8741 0.7100
Ge6 Ge 0.6943 0.3319 0.3624
Ge7 Ge 0.8359 0.1259 0.7100
Ge8 Ge 0.9695 0.3319 0.6376
Pd1 Pd 0.2736 0.5000 0.7736
Pd2 Pd 0.5000 0.0000 0.5000
Pd3 Pd 0.7264 0.5000 0.2264
```

The 10 most intense peaks (15° ≤ 2θ ≤ 90°), in order of rising 2θ:
| 2θ/deg | Rel. int. |
| --- | --- |
| 17.56 | 31 |
| 21.38 | 24 |
| 33.07 | 24 |
| 33.89 | 100 |
| 36.04 | 32 |
| 39.52 | 54 |
| 40.62 | 24 |
| 42.67 | 21 |
| 43.92 | 35 |
| 44.59 | 41 |

Entry 8:
For KGePdPt, a structure optimized by DFT (GGA-PBE) gives the computed X-ray diffraction stick pattern in this record (Cu Kα, 1.54184 Å).

Structure:
```
data_KGePdPt
_chemical_formula_sum 'K1 Ge1 Pd1 Pt1'
_symmetry_space_group_name_H-M 'P 1'
_symmetry_Int_Tables_number 1
_symmetry_space_group_name_Hall 'P 1'
_cell_length_a 4.3512
_cell_length_b 4.3512
_cell_length_c 6.5104
_cell_angle_alpha 109.54
_cell_angle_beta 109.54
_cell_angle_gamma 60.36
loop_
_atom_site_label
_atom_site_type_symbol
_atom_site_fract_x
_atom_site_fract_y
_atom_site_fract_z
K1 K 0.0000 0.0000 0.0000
Ge1 Ge 0.5060 0.5060 0.5192
Pd1 Pd 0.8064 0.8064 0.4209
Pt1 Pt 0.1937 0.1937 0.5813
```

The 10 most intense peaks (15° ≤ 2θ ≤ 90°), in order of rising 2θ:
| 2θ/deg | Rel. int. |
| --- | --- |
| 29.76 | 60 |
| 30.91 | 60 |
| 34.37 | 67 |
| 41.27 | 51 |
| 41.51 | 100 |
| 42.52 | 40 |
| 44.06 | 45 |
| 44.28 | 89 |
| 51.91 | 49 |
| 56.62 | 51 |

Entry 9:
For KPmGeS4, a structure optimized by DFT (GGA-PBE) gives the computed X-ray diffraction stick pattern in this record (Cu Kα, 1.54184 Å).

Structure:
```
data_KPmGeS4
_chemical_formula_sum 'K2 Pm2 Ge2 S8'
_symmetry_space_group_name_H-M 'P 1'
_symmetry_Int_Tables_number 1
_symmetry_space_group_name_Hall 'P 1'
_cell_length_a 6.6226
_cell_length_b 6.7108
_cell_length_c 8.8361
_cell_angle_alpha 90.00
_cell_angle_beta 107.06
_cell_angle_gamma 90.00
loop_
_atom_site_label
_atom_site_type_symbol
_atom_site_fract_x
_atom_site_fract_y
_atom_site_fract_z
K1 K 0.2337 0.2500 0.4354
K2 K 0.7663 0.7500 0.5646
Pm1 Pm 0.2723 0.2500 0.9473
Pm2 Pm 0.7277 0.7500 0.0527
Ge1 Ge 0.2748 0.7500 0.1764
Ge2 Ge 0.7252 0.2500 0.8236
S1 S 0.0742 0.7500 0.3355
S2 S 0.0771 0.7500 0.9249
S3 S 0.4994 0.5056 0.7862
S4 S 0.4994 0.9944 0.7862
S5 S 0.5006 0.0056 0.2138
S6 S 0.5006 0.4944 0.2138
S7 S 0.9229 0.2500 0.0751
S8 S 0.9258 0.2500 0.6645
```

The 10 most intense peaks (15° ≤ 2θ ≤ 90°), in order of rising 2θ:
| 2θ/deg | Rel. int. |
| --- | --- |
| 16.87 | 89 |
| 24.91 | 42 |
| 26.57 | 85 |
| 28.63 | 56 |
| 30.17 | 49 |
| 31.65 | 100 |
| 32.81 | 88 |
| 39.12 | 68 |
| 40.92 | 62 |
| 49.40 | 42 |

Entry 10:
For KPrGeSe4, a structure optimized by DFT (GGA-PBE) gives the computed X-ray diffraction stick pattern in this record (Cu Kα, 1.54184 Å).

Structure:
```
data_KPrGeSe4
_chemical_formula_sum 'K2 Pr2 Ge2 Se8'
_symmetry_space_group_name_H-M 'P 1'
_symmetry_Int_Tables_number 1
_symmetry_space_group_name_Hall 'P 1'
_cell_length_a 6.9749
_cell_length_b 7.1317
_cell_length_c 9.1945
_cell_angle_alpha 90.00
_cell_angle_beta 107.63
_cell_angle_gamma 90.00
loop_
_atom_site_label
_atom_site_type_symbol
_atom_site_fract_x
_atom_site_fract_y
_atom_site_fract_z
K1 K 0.2438 0.0000 0.4372
K2 K 0.7562 0.5000 0.5628
Pr1 Pr 0.2714 0.0047 0.9477
Pr2 Pr 0.7286 0.5047 0.0523
Ge1 Ge 0.2774 0.4713 0.1774
Ge2 Ge 0.7226 0.9713 0.8226
Se1 Se 0.0734 0.4077 0.9231
Se2 Se 0.0772 0.4674 0.3422
Se3 Se 0.4697 0.7324 0.7712
Se4 Se 0.4833 0.7459 0.2116
Se5 Se 0.5167 0.2459 0.7884
Se6 Se 0.5303 0.2324 0.2288
Se7 Se 0.9228 0.9674 0.6578
Se8 Se 0.9266 0.9077 0.0769
```

The 10 most intense peaks (15° ≤ 2θ ≤ 90°), in order of rising 2θ:
| 2θ/deg | Rel. int. |
| --- | --- |
| 16.02 | 52 |
| 24.97 | 30 |
| 27.57 | 34 |
| 28.39 | 100 |
| 30.34 | 71 |
| 31.07 | 58 |
| 32.37 | 33 |
| 32.60 | 41 |
| 36.97 | 46 |
| 39.22 | 45 |

Entry 11:
For KGe3Pt3, a structure optimized by DFT (GGA-PBE) gives the computed X-ray diffraction stick pattern in this record (Cu Kα, 1.54184 Å).

Structure:
```
data_KGe3Pt3
_chemical_formula_sum 'K2 Ge6 Pt6'
_symmetry_space_group_name_H-M 'P 1'
_symmetry_Int_Tables_number 1
_symmetry_space_group_name_Hall 'P 1'
_cell_length_a 9.0123
_cell_length_b 9.0123
_cell_length_c 9.0123
_cell_angle_alpha 44.80
_cell_angle_beta 44.80
_cell_angle_gamma 44.80
loop_
_atom_site_label
_atom_site_type_symbol
_atom_site_fract_x
_atom_site_fract_y
_atom_site_fract_z
K1 K 0.1637 0.1637 0.1637
K2 K 0.8363 0.8363 0.8363
Ge1 Ge 0.0373 0.6083 0.2090
Ge2 Ge 0.2090 0.0373 0.6083
Ge3 Ge 0.3917 0.7910 0.9627
Ge4 Ge 0.6083 0.2090 0.0373
Ge5 Ge 0.7910 0.9627 0.3917
Ge6 Ge 0.9627 0.3917 0.7910
Pt1 Pt 0.1609 0.6279 0.3840
Pt2 Pt 0.3721 0.6160 0.8391
Pt3 Pt 0.3840 0.1609 0.6279
Pt4 Pt 0.6160 0.8391 0.3721
Pt5 Pt 0.6279 0.3840 0.1609
Pt6 Pt 0.8391 0.3721 0.6160
```

The 10 most intense peaks (15° ≤ 2θ ≤ 90°), in order of rising 2θ:
| 2θ/deg | Rel. int. |
| --- | --- |
| 15.34 | 30 |
| 20.91 | 37 |
| 21.97 | 37 |
| 28.23 | 66 |
| 33.21 | 81 |
| 40.28 | 74 |
| 40.82 | 100 |
| 48.24 | 60 |
| 50.52 | 37 |
| 58.61 | 33 |

Entry 12:
For K2Ge2Pt3, a structure optimized by DFT (GGA-PBE) gives the computed X-ray diffraction stick pattern in this record (Cu Kα, 1.54184 Å).

Structure:
```
data_K2Ge2Pt3
_chemical_formula_sum 'K2 Ge2 Pt3'
_symmetry_space_group_name_H-M 'P 1'
_symmetry_Int_Tables_number 1
_symmetry_space_group_name_Hall 'P 1'
_cell_length_a 6.6224
_cell_length_b 6.6224
_cell_length_c 7.8652
_cell_angle_alpha 121.16
_cell_angle_beta 121.16
_cell_angle_gamma 36.58
loop_
_atom_site_label
_atom_site_type_symbol
_atom_site_fract_x
_atom_site_fract_y
_atom_site_fract_z
K1 K 0.1376 0.1376 0.2504
K2 K 0.8624 0.8624 0.7496
Ge1 Ge 0.1198 0.1198 0.7279
Ge2 Ge 0.8802 0.8802 0.2721
Pt1 Pt 0.3369 0.3369 0.0794
Pt2 Pt 0.5000 0.5000 0.5000
Pt3 Pt 0.6631 0.6631 0.9206
```

The 10 most intense peaks (15° ≤ 2θ ≤ 90°), in order of rising 2θ:
| 2θ/deg | Rel. int. |
| --- | --- |
| 23.00 | 31 |
| 29.70 | 53 |
| 30.28 | 72 |
| 34.61 | 26 |
| 39.30 | 100 |
| 41.26 | 50 |
| 42.19 | 26 |
| 43.09 | 51 |
| 43.55 | 38 |
| 46.22 | 34 |